# CeSn3Pd2
Calculated powder diffractogram, Cu Kα X-rays. Input: a crystal structure in the Materials Project, relaxed with PBE.
Peak positions follow from Bragg's law for the DFT cell and can differ from measured ones.

Crystal structure
Cell: 13.958 6.323 6.202 Å, 90.00 90.00 90.00°
Sites, in units of the cell vectors:
Ce  0.201  0.014  0.250
Ce  0.201  0.486  0.750
Ce  0.799  0.514  0.250
Ce  0.799  0.986  0.750
Sn  0.003  0.250  0.000
Sn  0.003  0.250  0.500
Sn  0.305  0.519  0.250
Sn  0.305  0.981  0.750
Sn  0.439  0.606  0.750
Sn  0.439  0.894  0.250
Sn  0.561  0.106  0.750
Sn  0.561  0.394  0.250
Sn  0.695  0.019  0.250
Sn  0.695  0.481  0.750
Sn  0.997  0.750  0.000
Sn  0.997  0.750  0.500
Pd  0.116  0.512  0.250
Pd  0.116  0.988  0.750
Pd  0.407  0.250  0.000
Pd  0.407  0.250  0.500
Pd  0.593  0.750  0.000
Pd  0.593  0.750  0.500
Pd  0.884  0.012  0.250
Pd  0.884  0.488  0.750

Top 12 peaks for 10° ≤ 2θ ≤ 90°, sorted by position:
- d = 3.101 Å, I = 17
- d = 2.880 Å, I = 48
- d = 2.834 Å, I = 30
- d = 2.741 Å, I = 100
- d = 2.614 Å, I = 26
- d = 2.583 Å, I = 36
- d = 2.389 Å, I = 18
- d = 2.214 Å, I = 78
- d = 2.059 Å, I = 24
- d = 1.712 Å, I = 25
- d = 1.550 Å, I = 21
- d = 1.515 Å, I = 17



# CeSn2Pd2
Calculated powder diffractogram, Cu Kα X-rays. Input: a crystal structure in the Materials Project, relaxed with PBE.
Peak positions follow from Bragg's law for the DFT cell and can differ from measured ones.

Crystal structure
Cell: 4.619 4.619 10.563 Å, 90.00 90.00 90.00°
Sites, in units of the cell vectors:
Ce  0.250  0.250  0.243
Ce  0.750  0.750  0.757
Sn  0.250  0.250  0.874
Sn  0.250  0.750  0.500
Sn  0.750  0.250  0.500
Sn  0.750  0.750  0.126
Pd  0.250  0.250  0.628
Pd  0.250  0.750  0.000
Pd  0.750  0.250  0.000
Pd  0.750  0.750  0.372

Top 12 peaks for 10° ≤ 2θ ≤ 90°, sorted by position:
- d = 2.800 Å, I = 63
- d = 2.778 Å, I = 100
- d = 2.309 Å, I = 76
- d = 2.053 Å, I = 31
- d = 1.921 Å, I = 23
- d = 1.782 Å, I = 33
- d = 1.633 Å, I = 26
- d = 1.550 Å, I = 15
- d = 1.477 Å, I = 20
- d = 1.408 Å, I = 25
- d = 1.278 Å, I = 14
- d = 1.146 Å, I = 17



# CeSnPd4
Calculated powder diffractogram, Cu Kα X-rays. Input: a crystal structure in the Materials Project, relaxed with PBE.
Peak positions follow from Bragg's law for the DFT cell and can differ from measured ones.

Crystal structure
Cell: 12.809 12.809 8.377 Å, 90.00 90.00 138.71°
Sites, in units of the cell vectors:
Ce  0.037  0.963  0.771
Ce  0.192  0.808  0.422
Ce  0.308  0.692  0.922
Ce  0.463  0.537  0.271
Ce  0.537  0.463  0.729
Ce  0.692  0.308  0.078
Ce  0.808  0.192  0.578
Ce  0.963  0.037  0.229
Sn  0.037  0.463  0.250
Sn  0.160  0.340  0.750
Sn  0.340  0.160  0.250
Sn  0.463  0.037  0.750
Sn  0.537  0.963  0.250
Sn  0.660  0.840  0.750
Sn  0.840  0.660  0.250
Sn  0.963  0.537  0.750
Pd  0.039  0.643  0.092
Pd  0.060  0.940  0.419
Pd  0.088  0.912  0.078
Pd  0.113  0.333  0.410
Pd  0.143  0.539  0.592
Pd  0.159  0.841  0.805
Pd  0.167  0.387  0.090
Pd  0.235  0.235  0.000
Pd  0.265  0.265  0.500
Pd  0.333  0.113  0.590
Pd  0.341  0.659  0.305
Pd  0.357  0.961  0.092
Pd  0.387  0.167  0.910
Pd  0.412  0.588  0.578
Pd  0.440  0.560  0.919
Pd  0.461  0.857  0.592
Pd  0.539  0.143  0.408
Pd  0.560  0.440  0.081
Pd  0.588  0.412  0.422
Pd  0.613  0.833  0.090
Pd  0.643  0.039  0.908
Pd  0.659  0.341  0.695
Pd  0.667  0.887  0.410
Pd  0.735  0.735  0.500
Pd  0.765  0.765  0.000
Pd  0.833  0.613  0.910
Pd  0.841  0.159  0.195
Pd  0.857  0.461  0.408
Pd  0.887  0.667  0.590
Pd  0.912  0.088  0.922
Pd  0.940  0.060  0.581
Pd  0.961  0.357  0.908

Top 12 peaks for 10° ≤ 2θ ≤ 90°, sorted by position:
- d = 2.975 Å, I = 30
- d = 2.531 Å, I = 27
- d = 2.497 Å, I = 36
- d = 2.439 Å, I = 73
- d = 2.433 Å, I = 100
- d = 2.395 Å, I = 66
- d = 2.330 Å, I = 99
- d = 2.289 Å, I = 94
- d = 2.258 Å, I = 64
- d = 2.208 Å, I = 56
- d = 2.117 Å, I = 45
- d = 1.317 Å, I = 26



# CeZn3Pd2
Calculated powder diffractogram, Cu Kα X-rays. Input: a crystal structure in the Materials Project, relaxed with PBE.
Peak positions follow from Bragg's law for the DFT cell and can differ from measured ones.

Crystal structure
Cell: 5.333 5.333 4.391 Å, 90.00 90.00 120.00°
Sites, in units of the cell vectors:
Ce  0.000  0.000  0.000
Zn  0.000  0.500  0.500
Zn  0.500  0.000  0.500
Zn  0.500  0.500  0.500
Pd  0.333  0.667  0.000
Pd  0.667  0.333  0.000

Top 12 peaks for 10° ≤ 2θ ≤ 90°, sorted by position:
- d = 4.391 Å, I = 10
- d = 3.182 Å, I = 14
- d = 2.666 Å, I = 35
- d = 2.309 Å, I = 17
- d = 2.279 Å, I = 100
- d = 2.196 Å, I = 27
- d = 2.044 Å, I = 13
- d = 1.695 Å, I = 18
- d = 1.453 Å, I = 23
- d = 1.333 Å, I = 15
- d = 1.283 Å, I = 15
- d = 1.140 Å, I = 18